[1]
Structure and computed powder diffractogram of LiMnP2HO7 (a crystal structure in the Materials Project, relaxed with PBE+U; Cu Ka).

Structure:
abc: 6.3341 6.5200 7.5184
angles: 100.10 96.00 111.36
Space group P-1 (No. 2)
Symmetry-distinct sites (fractional):
Li (0.1008, 0.1698, 0.3958)
Mn (0.2291, 0.7081, 0.1996)
P (0.2525, 0.3268, 0.8173)
P (0.3807, 0.7188, 0.6394)
H (0.2958, 0.9760, 0.8027)
O (0.0589, 0.1799, 0.6547)
O (0.1408, 0.3988, 0.9752)
O (0.2050, 0.8053, 0.7318)
O (0.2725, 0.5865, 0.4431)
O (0.3825, 0.0902, 0.3275)
O (0.4169, 0.5463, 0.7559)
O (0.4204, 0.2150, 0.8666)

Peak list (8 most intense, 15° ≤ 2θ ≤ 90°, sorted by position)
2θ/deg	I/Imax
17.01	82
24.47	63
25.32	41
25.63	64
30.22	100
30.84	28
31.72	31
52.11	27

=====

[2]
Structure and computed powder diffractogram of MnAlO3 (a crystal structure in the Materials Project, relaxed with PBE+U; Cu Ka).

Structure:
abc: 5.6045 5.6045 11.3949
angles: 90.00 90.00 120.00
Space group P6_3cm (No. 185)
Symmetry-distinct sites (fractional):
Mn (0.0000, 0.3331, 0.0000)
Al (0.0000, 0.0000, 0.2526)
Al (0.3333, 0.6667, 0.2491)
O (0.0000, 0.0000, 0.4832)
O (0.0000, 0.3220, 0.1744)
O (0.0000, 0.3464, 0.8256)
O (0.3333, 0.6667, 0.0078)

Peak list (8 most intense, 15° ≤ 2θ ≤ 90°, sorted by position)
2θ/deg	I/Imax
15.55	18
31.40	39
32.92	100
35.71	17
51.70	29
56.91	39
58.73	14
66.45	31

=====

[3]
Structure and computed powder diffractogram of V2Zn3O11 (a crystal structure in the Materials Project, relaxed with PBE+U; Cu Ka).

Structure:
abc: 6.0359 6.0359 7.0970
angles: 90.00 90.00 120.00
Space group P-3m1 (No. 164)
Symmetry-distinct sites (fractional):
V (0.0000, 0.0000, 0.2481)
Zn (0.0000, 0.5000, 0.0000)
O (0.0000, 0.0000, 0.5000)
O (0.1566, 0.3132, 0.8374)
O (0.3333, 0.6667, 0.1553)
O (0.3333, 0.6667, 0.3457)

Peak list (8 most intense, 15° ≤ 2θ ≤ 90°, sorted by position)
2θ/deg	I/Imax
21.11	60
30.45	90
34.31	84
36.64	100
39.19	50
42.98	45
61.45	48
63.36	58

=====

[4]
Structure and computed powder diffractogram of PW2O8 (a crystal structure in the Materials Project, relaxed with PBE+U; Cu Ka).

Structure:
abc: 5.3743 6.7268 17.7798
angles: 90.00 90.00 90.00
Space group P2_12_12_1 (No. 19)
Symmetry-distinct sites (fractional):
P (0.2323, 0.0496, 0.1887)
W (0.2420, 0.4093, 0.0462)
W (0.2422, 0.7503, 0.8716)
O (0.0224, 0.4450, 0.3205)
O (0.0231, 0.5988, 0.0994)
O (0.0283, 0.9382, 0.9096)
O (0.0532, 0.7672, 0.4954)
O (0.0548, 0.0952, 0.6684)
O (0.2383, 0.8913, 0.7718)
O (0.2421, 0.5942, 0.9570)
O (0.2436, 0.2379, 0.1408)

Peak list (8 most intense, 15° ≤ 2θ ≤ 90°, sorted by position)
2θ/deg	I/Imax
19.97	83
21.75	100
23.43	70
26.01	80
33.00	52
33.37	49
34.56	47
51.07	47

=====

[5]
Structure and computed powder diffractogram of K2UMo3O12 (a crystal structure in the Materials Project, relaxed with PBE+U; Cu Ka).

Structure:
abc: 17.9688 12.3093 5.2949
angles: 90.00 103.20 90.00
Space group C2/c (No. 15)
Symmetry-distinct sites (fractional):
K (0.1665, 0.1231, 0.4196)
U (0.0000, 0.3745, 0.2500)
Mo (0.0000, 0.1495, 0.7500)
Mo (0.1545, 0.3983, 0.8865)
O (0.0413, 0.2330, 0.5244)
O (0.0702, 0.4585, 0.6306)
O (0.0739, 0.0670, 0.9251)
O (0.1028, 0.3207, 0.0918)
O (0.2058, 0.3018, 0.7561)
O (0.2180, 0.4787, 0.1231)

Peak list (8 most intense, 15° ≤ 2θ ≤ 90°, sorted by position)
2θ/deg	I/Imax
23.02	16
26.32	100
27.65	87
29.01	29
30.66	22
33.94	18
42.72	23
45.24	23

=====

[6]
Structure and computed powder diffractogram of Mn12O7F17 (a crystal structure in the Materials Project, relaxed with PBE+U; Cu Ka).

Structure:
abc: 4.8232 5.8149 15.7934
angles: 89.53 89.60 85.15
Space group P1 (No. 1)
Symmetry-distinct sites (fractional):
Mn (0.0000, 0.0000, 0.0000)
Mn (0.0010, 0.6727, 0.1582)
Mn (0.0228, 0.9816, 0.3264)
Mn (0.0253, 0.6780, 0.8199)
Mn (0.0277, 0.6614, 0.4871)
Mn (0.4767, 0.4959, 0.3189)
Mn (0.4841, 0.5085, 0.6533)
Mn (0.4919, 0.1818, 0.4958)
Mn (0.4977, 0.5033, 0.9769)
Mn (0.5035, 0.1763, 0.8199)
Mn (0.5136, 0.1815, 0.1562)
Mn (0.9953, 0.9753, 0.6675)
O (0.2220, 0.7193, 0.7140)
O (0.2250, 0.7085, 0.3831)
O (0.2820, 0.4470, 0.2104)
O (0.2850, 0.4437, 0.8690)
O (0.2919, 0.4593, 0.5479)
O (0.7856, 0.9447, 0.7712)
O (0.7861, 0.9465, 0.1072)
F (0.2223, 0.9596, 0.5579)
F (0.2419, 0.7136, 0.0524)
F (0.2557, 0.9461, 0.2142)
F (0.2572, 0.9466, 0.8913)
F (0.2743, 0.2088, 0.3828)
F (0.2826, 0.2128, 0.7121)
F (0.2905, 0.2217, 0.0452)
F (0.7290, 0.4386, 0.4253)
F (0.7305, 0.4501, 0.7560)
F (0.7399, 0.2110, 0.9262)
F (0.7407, 0.2207, 0.2695)
F (0.7423, 0.2130, 0.6069)
F (0.7470, 0.4424, 0.0924)
F (0.7714, 0.9409, 0.4402)
F (0.7777, 0.7210, 0.2673)
F (0.7807, 0.7080, 0.5903)
F (0.8090, 0.7097, 0.9294)

Peak list (8 most intense, 15° ≤ 2θ ≤ 90°, sorted by position)
2θ/deg	I/Imax
23.02	64
25.05	46
28.52	61
28.80	55
30.34	100
51.32	27
51.67	27
54.50	32

=====

[7]
Structure and computed powder diffractogram of LiCoPO4 (a crystal structure in the Materials Project, relaxed with PBE+U; Cu Ka).

Structure:
abc: 4.2928 14.6269 4.7664
angles: 90.00 90.00 90.00
Space group Pbcn (No. 60)
Symmetry-distinct sites (fractional):
Li (0.0000, 0.2488, 0.2500)
Co (0.0000, 0.0628, 0.7500)
P (0.0000, 0.3871, 0.7500)
O (0.1873, 0.3284, 0.5357)
O (0.2364, 0.4479, 0.9136)

Peak list (8 most intense, 15° ≤ 2θ ≤ 90°, sorted by position)
2θ/deg	I/Imax
27.69	28
28.64	34
30.82	14
33.57	100
37.41	27
57.81	20
60.68	14
65.51	14